[1]
The following is a computed PXRD pattern of Ac2Ga4Ni. It was derived from a DFT-relaxed cell (GGA-PBE, Alexandria), using copper Kα.

Structural model:
```
7
Lattice="5.9767 0.0000 0.0000 0.0000 5.9767 0.0000 0.0000 0.0000 5.0617" Properties=species:S:1:pos:R:3 pbc="T T T"
Ac 0.0000 2.9883 0.0000
Ac 2.9883 0.0000 0.0000
Ga 1.3122 1.3122 2.5308
Ga 1.3122 4.6645 2.5308
Ga 4.6645 1.3122 2.5308
Ga 4.6645 4.6645 2.5308
Ni 2.9883 2.9883 2.5308
```

Principal peaks in the range 2θ = 10–90°, in order of falling intensity:
two_theta, Rel. int.
27.49, 100.0
34.86, 85.4
21.02, 46.8
42.79, 33.3
35.47, 31.1
51.62, 30.7
56.76, 28.9
41.59, 16.9

[2]
The following is a computed PXRD pattern of Ac2GaNi5. It was derived from a DFT-relaxed cell (GGA-PBE, Alexandria), using copper Kα.

Structural model:
```
8
Lattice="-2.9313 2.9313 4.4996 2.9313 -2.9313 4.4996 2.9313 2.9313 -4.4996" Properties=species:S:1:pos:R:3 pbc="T T T"
Ac 2.9313 0.0000 0.0000
Ac 0.0000 2.9313 0.0000
Ga 0.0000 0.0000 2.0002
Ni 1.6989 1.6989 2.2493
Ni 1.2324 -1.2324 6.7489
Ni 0.0000 0.0000 8.4668
Ni -1.2324 1.2324 6.7489
Ni 1.2324 1.2324 6.7489
```

Principal peaks in the range 2θ = 10–90°, in order of falling intensity:
two_theta, Rel. int.
36.59, 100.0
29.29, 96.7
43.67, 44.0
21.43, 36.0
53.45, 29.0
40.08, 27.4
60.76, 27.3
45.92, 26.2

[3]
The following is a computed PXRD pattern of Ac3Ga3Ni. It was derived from a DFT-relaxed cell (GGA-PBE, Alexandria), using copper Kα.

Structural model:
```
14
Lattice="5.9159 -2.2384 0.0000 5.9159 2.2384 0.0000 -4.8939 0.0000 14.4138" Properties=species:S:1:pos:R:3 pbc="T T T"
Ac -1.5904 0.0000 5.5837
Ac -3.1787 0.0000 13.2454
Ac 1.7138 0.0000 3.4273
Ac 5.2240 0.0000 10.9865
Ac 10.1165 0.0000 1.1684
Ac 8.5282 0.0000 8.8300
Ga 1.5262 0.0000 6.6470
Ga 0.2364 0.0000 13.3326
Ga 1.6800 0.0000 11.0079
Ga 5.2578 0.0000 3.4058
Ga 6.7014 0.0000 1.0812
Ga 5.4116 0.0000 7.7668
Ni 0.1808 0.0000 8.8089
Ni 6.7570 0.0000 5.6049
```

Principal peaks in the range 2θ = 10–90°, in order of falling intensity:
two_theta, Rel. int.
30.25, 100.0
30.84, 67.6
30.06, 51.2
40.29, 40.8
36.47, 35.3
24.71, 35.2
23.01, 30.9
37.44, 25.3

[4]
The following is a computed PXRD pattern of Ac2Ga4Ni5. It was derived from a DFT-relaxed cell (GGA-PBE, Alexandria), using copper Kα.

Structural model:
```
11
Lattice="0.0000 4.8895 7.2392 2.7994 0.0000 7.2392 2.7994 4.8895 0.0000" Properties=species:S:1:pos:R:3 pbc="T T T"
Ac 2.7994 4.8895 1.9891
Ac 2.7994 4.8895 12.4892
Ga 2.7994 3.3069 5.4074
Ga 2.7994 3.3069 9.0709
Ga 2.7994 6.4720 5.4074
Ga 2.7994 6.4720 9.0709
Ni 1.3997 2.4447 0.0000
Ni 1.3997 2.4447 3.6196
Ni 1.3997 2.4447 7.2392
Ni 2.7994 4.8895 7.2392
Ni 4.1991 7.3342 10.8587
```

Principal peaks in the range 2θ = 10–90°, in order of falling intensity:
two_theta, Rel. int.
36.97, 100.0
40.75, 50.1
26.02, 42.1
32.38, 41.1
30.73, 30.4
55.08, 17.4
44.89, 17.2
31.97, 16.9